Record 1
MgSb: calculated powder XRD pattern (copper Kα), based on a structure optimized by DFT (PBE).

Atomic structure:
```
data_MgSb
_chemical_formula_sum 'Mg6 Sb6'
_cell_length_a 5.723
_cell_length_b 9.451
_cell_length_c 5.739
_cell_angle_alpha 90.00
_cell_angle_beta 90.00
_cell_angle_gamma 90.00
_symmetry_space_group_name_H-M 'A m m 2'
_symmetry_Int_Tables_number 38
loop_
_symmetry_equiv_pos_as_xyz
'x,y,z'
'-x,-y,z'
'-x,y,z'
'x,-y,z'
'x,y+1/2,z+1/2'
'-x,-y+1/2,z+1/2'
'-x,y+1/2,z+1/2'
'x,-y+1/2,z+1/2'
loop_
_atom_site_label
_atom_site_fract_x
_atom_site_fract_y
_atom_site_fract_z
Mg1 0.000 0.000 0.000
Mg2 0.500 0.177 0.665
Sb1 0.000 0.159 0.515
Sb2 0.500 0.000 0.094
```

Largest 10 diffraction maxima, most intense first, 2θ = 10–90°:
23.89 deg, I 100, (1 1 1); 31.22 deg, I 98, (2 0 0); 32.42 deg, I 96, (0 3 1); 45.65 deg, I 73, (2 3 1); 34.98 deg, I 32, (1 0 2); 24.43 deg, I 31, (1 2 0); 44.73 deg, I 28, (2 0 2); 36.11 deg, I 22, (1 3 1); 58.73 deg, I 22, (1 3 3); 67.91 deg, I 19, (2 6 0)

Record 2
Mg2Sb: calculated powder XRD pattern (copper Kα), based on a structure optimized by DFT (PBE).

Atomic structure:
```
data_Mg2Sb
_chemical_formula_sum 'Mg8 Sb4'
_cell_length_a 11.315
_cell_length_b 3.553
_cell_length_c 7.808
_cell_angle_alpha 90.00
_cell_angle_beta 111.83
_cell_angle_gamma 90.00
_symmetry_space_group_name_H-M 'C 1 2/m 1'
_symmetry_Int_Tables_number 12
loop_
_symmetry_equiv_pos_as_xyz
'x,y,z'
'-x,-y,-z'
'-x,y,-z'
'x,-y,z'
'x+1/2,y+1/2,z'
'-x+1/2,-y+1/2,-z'
'-x+1/2,y+1/2,-z'
'x+1/2,-y+1/2,z'
loop_
_atom_site_label
_atom_site_fract_x
_atom_site_fract_y
_atom_site_fract_z
Mg1 0.146 0.000 0.030
Mg2 0.160 0.000 0.625
Sb1 0.053 0.500 0.284
```

Largest 10 diffraction maxima, most intense first, 2θ = 10–90°:
34.13 deg, I 100, (1 1 -2); 16.88 deg, I 62, (2 0 0); 26.48 deg, I 51, (1 1 0); 36.01 deg, I 42, (3 1 0); 24.10 deg, I 37, (2 0 -2); 30.59 deg, I 32, (1 1 1); 24.56 deg, I 32, (0 0 2); 34.81 deg, I 29, (3 1 -1); 24.35 deg, I 29, (2 0 1); 31.63 deg, I 28, (4 0 -1)